This entry pairs a crystal structure of Pm2NiGe5 with its calculated powder diffractogram. Radiation: Cu Kα (weighted mean of Kα1 and Kα2). Structure: a PBE-relaxed structure.

a b c (Å): 6.3647 6.3647 6.3647
angles (deg): 124.93 124.93 81.65
Fractional positions:
Pm1 0.0000 0.5000 0.5000
Pm2 0.5000 0.0000 0.5000
Ni1 0.1464 0.1464 0.0000
Ge1 0.5163 0.5163 0.5187
Ge2 0.5163 0.9975 0.0000
Ge3 0.5676 0.5676 0.0000
Ge4 0.9975 0.5163 0.0000
Ge5 0.9975 0.9975 0.4813

Most intense lines, 10 to 90 degrees two-theta, sorted by position:
4.161 Å, 2θ 21.4, I 10; 3.149 Å, 2θ 28.3, I 37; 2.511 Å, 2θ 35.8, I 100; 2.408 Å, 2θ 37.3, I 15; 2.082 Å, 2θ 43.5, I 56; 1.736 Å, 2θ 52.7, I 13; 1.574 Å, 2θ 58.6, I 16; 1.472 Å, 2θ 63.2, I 24; 1.409 Å, 2θ 66.3, I 13; 1.269 Å, 2θ 74.8, I 22

This entry pairs a crystal structure of PmNi6Ge2 with its calculated powder diffractogram. Radiation: Cu Kα (weighted mean of Kα1 and Kα2). Structure: a PBE-relaxed structure.

a b c (Å): 7.4929 7.4929 7.4929
angles (deg): 60.00 60.00 60.00
Fractional positions:
Pm1 0.1250 0.1250 0.1250
Pm2 0.8750 0.8750 0.8750
Ni1 0.1284 0.1284 0.6216
Ni2 0.1284 0.6216 0.1284
Ni3 0.1284 0.6216 0.6216
Ni4 0.3784 0.3784 0.8716
Ni5 0.3784 0.8716 0.3784
Ni6 0.3784 0.8716 0.8716
Ni7 0.6216 0.1284 0.1284
Ni8 0.6216 0.1284 0.6216
Ni9 0.6216 0.6216 0.1284
Ni10 0.8716 0.3784 0.3784
Ni11 0.8716 0.3784 0.8716
Ni12 0.8716 0.8716 0.3784
Ge1 0.0000 0.5000 0.5000
Ge2 0.5000 0.0000 0.5000
Ge3 0.5000 0.5000 0.0000
Ge4 0.5000 0.5000 0.5000

Most intense lines, 10 to 90 degrees two-theta, sorted by position:
3.195 Å, 2θ 27.9, I 65; 3.059 Å, 2θ 29.2, I 14; 2.649 Å, 2θ 33.8, I 45; 2.039 Å, 2θ 44.4, I 23; 1.873 Å, 2θ 48.6, I 100; 1.616 Å, 2θ 57.0, I 9; 1.529 Å, 2θ 60.5, I 10; 1.380 Å, 2θ 67.9, I 16; 1.325 Å, 2θ 71.2, I 15; 1.185 Å, 2θ 81.2, I 12

This entry pairs a crystal structure of Pm2Ni12Ge3Pt with its calculated powder diffractogram. Radiation: Cu Kα (weighted mean of Kα1 and Kα2). Structure: a PBE-relaxed structure.

a b c (Å): 9.3273 9.3273 9.3273
angles (deg): 38.17 38.17 38.17
Fractional positions:
Pm1 0.1498 0.1498 0.1498
Pm2 0.8502 0.8502 0.8502
Ni1 0.0847 0.0847 0.6925
Ni2 0.0847 0.6925 0.0847
Ni3 0.1428 0.5671 0.5671
Ni4 0.3075 0.9153 0.9153
Ni5 0.4329 0.4329 0.8572
Ni6 0.4329 0.8572 0.4329
Ni7 0.5671 0.1428 0.5671
Ni8 0.5671 0.5671 0.1428
Ni9 0.6925 0.0847 0.0847
Ni10 0.8572 0.4329 0.4329
Ni11 0.9153 0.3075 0.9153
Ni12 0.9153 0.9153 0.3075
Ge1 0.0000 0.5000 0.5000
Ge2 0.5000 0.0000 0.5000
Ge3 0.5000 0.5000 0.0000
Pt1 0.5000 0.5000 0.5000

Most intense lines, 10 to 90 degrees two-theta, sorted by position:
2.876 Å, 2θ 31.1, I 100; 2.588 Å, 2θ 34.7, I 27; 2.491 Å, 2θ 36.1, I 41; 2.151 Å, 2θ 42.0, I 35; 2.094 Å, 2θ 43.2, I 21; 2.047 Å, 2θ 44.2, I 34; 1.863 Å, 2θ 48.9, I 16; 1.726 Å, 2θ 53.1, I 27; 1.631 Å, 2θ 56.4, I 21; 1.525 Å, 2θ 60.8, I 38

This entry pairs a crystal structure of Pm2NiGe3Rh4 with its calculated powder diffractogram. Radiation: Cu Kα (weighted mean of Kα1 and Kα2). Structure: a PBE-relaxed structure.

a b c (Å): 4.1928 4.1928 10.2346
angles (deg): 90.00 90.00 90.00
Fractional positions:
Pm1 0.0000 0.5000 0.2441
Pm2 0.5000 0.0000 0.7559
Ni1 0.5000 0.5000 0.0000
Ge1 0.0000 0.0000 0.0000
Ge2 0.0000 0.5000 0.6306
Ge3 0.5000 0.0000 0.3694
Rh1 0.0000 0.0000 0.5000
Rh2 0.0000 0.5000 0.8694
Rh3 0.5000 0.0000 0.1306
Rh4 0.5000 0.5000 0.5000

Most intense lines, 10 to 90 degrees two-theta, sorted by position:
2.965 Å, 2θ 30.1, I 15; 2.646 Å, 2θ 33.9, I 63; 2.565 Å, 2θ 35.0, I 100; 2.096 Å, 2θ 43.2, I 60; 1.937 Å, 2θ 46.9, I 16; 1.839 Å, 2θ 49.6, I 27; 1.643 Å, 2θ 56.0, I 29; 1.482 Å, 2θ 62.7, I 19; 1.383 Å, 2θ 67.8, I 21; 1.283 Å, 2θ 73.8, I 23

This entry pairs a crystal structure of Pm2Ni4Ge3Sb with its calculated powder diffractogram. Radiation: Cu Kα (weighted mean of Kα1 and Kα2). Structure: a PBE-relaxed structure.

a b c (Å): 4.2296 4.2296 9.8074
angles (deg): 90.00 90.00 90.00
Fractional positions:
Pm1 0.0000 0.5000 0.2359
Pm2 0.5000 0.0000 0.7641
Ni1 0.0000 0.0000 0.0000
Ni2 0.0000 0.5000 0.6353
Ni3 0.5000 0.0000 0.3647
Ni4 0.5000 0.5000 0.0000
Ge1 0.0000 0.5000 0.8779
Ge2 0.5000 0.0000 0.1221
Ge3 0.5000 0.5000 0.5000
Sb1 0.0000 0.0000 0.5000

Most intense lines, 10 to 90 degrees two-theta, sorted by position:
2.991 Å, 2θ 29.9, I 12; 2.587 Å, 2θ 34.7, I 58; 2.553 Å, 2θ 35.1, I 100; 2.115 Å, 2θ 42.8, I 59; 1.779 Å, 2θ 51.3, I 20; 1.637 Å, 2θ 56.2, I 29; 1.495 Å, 2θ 62.1, I 19; 1.434 Å, 2θ 65.0, I 12; 1.361 Å, 2θ 69.0, I 17; 1.290 Å, 2θ 73.4, I 22

This entry pairs a crystal structure of Pm2Si3Ni4Ge with its calculated powder diffractogram. Radiation: Cu Kα (weighted mean of Kα1 and Kα2). Structure: a PBE-relaxed structure.

a b c (Å): 4.0676 4.0676 9.5604
angles (deg): 90.00 90.00 90.00
Fractional positions:
Pm1 0.0000 0.5000 0.2480
Pm2 0.5000 0.0000 0.7520
Si1 0.0000 0.5000 0.8755
Si2 0.5000 0.0000 0.1245
Si3 0.5000 0.5000 0.5000
Ni1 0.0000 0.0000 0.0000
Ni2 0.0000 0.5000 0.6286
Ni3 0.5000 0.0000 0.3714
Ni4 0.5000 0.5000 0.0000
Ge1 0.0000 0.0000 0.5000

Most intense lines, 10 to 90 degrees two-theta, sorted by position:
3.743 Å, 2θ 23.8, I 28; 2.876 Å, 2θ 31.1, I 16; 2.509 Å, 2θ 35.8, I 66; 2.465 Å, 2θ 36.5, I 100; 2.034 Å, 2θ 44.6, I 50; 1.730 Å, 2θ 52.9, I 23; 1.580 Å, 2θ 58.4, I 31; 1.438 Å, 2θ 64.8, I 16; 1.318 Å, 2θ 71.6, I 18; 1.242 Å, 2θ 76.7, I 22